Starting from a PBE-relaxed structure, the X-ray powder pattern of YPdI2N was calculated for a wavelength of 1.5418 Å.

Main lines, in order of rising 2θ (2θ from 5° to 70°):
| 2θ (°) | I/Imax | index |
| --- | --- | --- |
| 20.6 | 16 | 0 0 1 |
| 25.3 | 27 | 1 0 1 |
| 29.4 | 100 | 2 0 0 |
| 36.2 | 15 | 2 0 1 |
| 39.2 | 17 | 2 1 1 |
| 42.0 | 32 | 2 2 0 |
| 47.3 | 7 | 2 2 1 |
| 52.1 | 39 | 2 0 2 |
| 60.9 | 21 | 4 0 0 |
| 69.1 | 16 | 4 2 0 |

Unit cell a=6.0810 b=6.0810 c=4.3057 alpha=90.00 beta=90.00 gamma=90.00
Fractional positions:
Y1 0.0000 0.0000 0.0000
Pd1 0.5000 0.5000 0.5000
I1 0.0000 0.5000 0.0000
I2 0.5000 0.0000 0.0000
N1 0.0000 0.0000 0.5000